No. 1
Structure and computed PXRD pattern of Th3Tl2Hg4 (the GGA-PBE geometry in Alexandria; Cu Ka).
Kinematic intensities with the Lorentz-polarization factor, no thermal factor.

Structural model:
Cell lengths 6.2282, 6.2282, 9.5332 Å; angles 116.75, 116.75, 48.26 degrees
Element x y z (fractional)
Th: 0.0000 0.0000 0.0000
Th: 0.3351 0.3351 0.3292
Th: 0.6649 0.6649 0.6708
Tl: 0.3666 0.3666 0.7000
Tl: 0.6334 0.6334 0.3000
Hg: 0.0303 0.0303 0.3661
Hg: 0.3030 0.3030 0.9722
Hg: 0.6970 0.6970 0.0278
Hg: 0.9697 0.9697 0.6339

Peak list (8 most intense, 5 to 70 degrees two-theta, by angle)
2θ 32.35, intensity 100.0
2θ 32.39, intensity 63.4
2θ 35.13, intensity 91.9
2θ 35.25, intensity 45.7
2θ 48.60, intensity 38.8
2θ 61.24, intensity 18.0
2θ 61.44, intensity 18.0
2θ 63.99, intensity 18.7

---

No. 2
Structure and computed PXRD pattern of Tb8Pr4Dy (the GGA-PBE geometry in Alexandria; Cu Ka).
Kinematic intensities with the Lorentz-polarization factor, no thermal factor.

Structural model:
Cell lengths 7.8499, 7.8499, 7.8499 Å; angles 90.11, 90.11, 90.11 degrees
Element x y z (fractional)
Tb: 0.2391 0.2391 0.7595
Tb: 0.2391 0.7595 0.2391
Tb: 0.2395 0.2395 0.2395
Tb: 0.2405 0.7609 0.7609
Tb: 0.7595 0.2391 0.2391
Tb: 0.7605 0.7605 0.7605
Tb: 0.7609 0.2405 0.7609
Tb: 0.7609 0.7609 0.2405
Pr: 0.0000 0.0000 0.0000
Pr: 0.0000 0.5000 0.5000
Pr: 0.5000 0.0000 0.5000
Pr: 0.5000 0.5000 0.0000
Dy: 0.5000 0.5000 0.5000

Peak list (8 most intense, 5 to 70 degrees two-theta, by angle)
2θ 19.59, intensity 10.0
2θ 22.65, intensity 8.5
2θ 25.37, intensity 5.6
2θ 32.25, intensity 100.0
2θ 46.26, intensity 18.0
2θ 57.48, intensity 27.8
2θ 57.62, intensity 9.1
2θ 67.42, intensity 5.6

---

No. 3
Structure and computed PXRD pattern of RbScSe2 (the GGA-PBE geometry in Alexandria; Cu Ka).
Kinematic intensities with the Lorentz-polarization factor, no thermal factor.

Structural model:
Cell lengths 4.0300, 4.0300, 23.9925 Å; angles 90.00, 90.00, 120.00 degrees
Element x y z (fractional)
Rb: 0.0000 0.0000 0.0000
Rb: 0.3333 0.6667 0.6667
Rb: 0.6667 0.3333 0.3333
Sc: 0.0000 0.0000 0.1685
Sc: 0.3333 0.6667 0.8352
Sc: 0.6667 0.3333 0.5018
Se: 0.0000 0.0000 0.5636
Se: 0.0000 0.0000 0.7731
Se: 0.3333 0.6667 0.2303
Se: 0.3333 0.6667 0.4397
Se: 0.6667 0.3333 0.1064
Se: 0.6667 0.3333 0.8969

Peak list (8 most intense, 5 to 70 degrees two-theta, by angle)
2θ 25.80, intensity 18.1
2θ 26.60, intensity 16.7
2θ 29.61, intensity 42.3
2θ 31.70, intensity 100.0
2θ 44.99, intensity 45.9
2θ 45.90, intensity 16.6
2θ 56.08, intensity 18.7
2θ 57.32, intensity 19.7

---

Please write out number 1 again, unchanged.
Structure and computed PXRD pattern of Th3Tl2Hg4 (the GGA-PBE geometry in Alexandria; Cu Ka).
Kinematic intensities with the Lorentz-polarization factor, no thermal factor.

Structural model:
Cell lengths 6.2282, 6.2282, 9.5332 Å; angles 116.75, 116.75, 48.26 degrees
Element x y z (fractional)
Th: 0.0000 0.0000 0.0000
Th: 0.3351 0.3351 0.3292
Th: 0.6649 0.6649 0.6708
Tl: 0.3666 0.3666 0.7000
Tl: 0.6334 0.6334 0.3000
Hg: 0.0303 0.0303 0.3661
Hg: 0.3030 0.3030 0.9722
Hg: 0.6970 0.6970 0.0278
Hg: 0.9697 0.9697 0.6339

Peak list (8 most intense, 5 to 70 degrees two-theta, by angle)
2θ 32.35, intensity 100.0
2θ 32.39, intensity 63.4
2θ 35.13, intensity 91.9
2θ 35.25, intensity 45.7
2θ 48.60, intensity 38.8
2θ 61.24, intensity 18.0
2θ 61.44, intensity 18.0
2θ 63.99, intensity 18.7